This entry pairs a crystal structure of Eu2MoO6 with its computed powder diffractogram. Radiation: Cu Ka. Structure: a cell relaxed with GGA+U.

Lattice parameters (Å, degrees): 10.1770 10.1770 5.5208 104.93 104.93 68.23
Sites, in units of the cell vectors:
Eu  0.0549  0.2891  0.8850
Eu  0.1115  0.8885  0.7500
Eu  0.2891  0.0549  0.3850
Eu  0.3653  0.6347  0.2500
Eu  0.6347  0.3653  0.7500
Eu  0.7109  0.9451  0.6150
Eu  0.8885  0.1115  0.2500
Eu  0.9451  0.7109  0.1150
Mo  0.2021  0.4906  0.5617
Mo  0.4906  0.2021  0.0617
Mo  0.5094  0.7979  0.9383
Mo  0.7979  0.5094  0.4383
O  0.0666  0.4793  0.2643
O  0.0772  0.1031  0.0677
O  0.1031  0.0772  0.5677
O  0.1604  0.6911  0.4180
O  0.1705  0.6178  0.8623
O  0.2138  0.3210  0.6333
O  0.3089  0.8396  0.0820
O  0.3210  0.2138  0.1333
O  0.3819  0.4563  0.5129
O  0.3822  0.8295  0.6377
O  0.4563  0.3819  0.0129
O  0.4793  0.0666  0.7643
O  0.5207  0.9334  0.2357
O  0.5437  0.6181  0.9871
O  0.6178  0.1705  0.3623
O  0.6181  0.5437  0.4871
O  0.6790  0.7862  0.8667
O  0.6911  0.1604  0.9180
O  0.7862  0.6790  0.3667
O  0.8295  0.3822  0.1377
O  0.8396  0.3089  0.5820
O  0.8969  0.9228  0.4323
O  0.9228  0.8969  0.9323
O  0.9334  0.5207  0.7357

Peak list (10 most intense, 10 to 90 degrees two-theta, in order of rising 2θ)
27.85 deg, I = 100; 28.19 deg, I = 89; 31.34 deg, I = 23; 32.44 deg, I = 20; 33.58 deg, I = 18; 45.73 deg, I = 27; 46.59 deg, I = 27; 46.95 deg, I = 15; 53.68 deg, I = 13; 54.91 deg, I = 14